(1)
Starting from a PBE-relaxed structure, the X-ray powder pattern of KRb6Au4 was computed for Cu Kα (weighted mean of Kα1 and Kα2).
Neutral-atom scattering factors, no anomalous dispersion.

Atomic structure:
a b c (Å): 15.891 15.891 15.891
angles (deg): 158.95 158.95 29.94
Atoms (fractional coordinates):
K 0.000 0.000 0.000
Rb 0.110 0.610 0.500
Rb 0.250 0.750 0.500
Rb 0.390 0.890 0.500
Rb 0.610 0.110 0.500
Rb 0.750 0.250 0.500
Rb 0.890 0.390 0.500
Au 0.180 0.180 0.000
Au 0.455 0.455 0.000
Au 0.545 0.545 0.000
Au 0.820 0.820 0.000

Principal peaks in the range 2θ from 15° to 90°, low angle first:
2theta	I/Imax
17.6	100
27.9	46
30.8	68
31.9	68
35.7	71
44.1	25
47.8	30
52.3	22
55.5	29
58.0	18
67.1	17
87.9	18

=====

(2)
Starting from a PBE-relaxed structure, the X-ray powder pattern of Ca3Sn2S7 was computed for Cu Kα (weighted mean of Kα1 and Kα2).
Neutral-atom scattering factors, no anomalous dispersion.

Atomic structure:
a b c (Å): 11.343 12.553 3.878
angles (deg): 90.00 90.00 90.00
Atoms (fractional coordinates):
Ca 0.000 0.000 0.000
Ca 0.113 0.347 0.000
Ca 0.387 0.847 0.000
Ca 0.500 0.500 0.000
Ca 0.613 0.153 0.000
Ca 0.887 0.653 0.000
Sn 0.215 0.606 0.500
Sn 0.285 0.106 0.500
Sn 0.715 0.894 0.500
Sn 0.785 0.394 0.500
S 0.000 0.500 0.500
S 0.080 0.177 0.500
S 0.143 0.710 0.000
S 0.205 0.928 0.500
S 0.295 0.428 0.500
S 0.357 0.210 0.000
S 0.420 0.677 0.500
S 0.500 0.000 0.500
S 0.580 0.323 0.500
S 0.643 0.790 0.000
S 0.705 0.572 0.500
S 0.795 0.072 0.500
S 0.857 0.290 0.000
S 0.920 0.823 0.500

Principal peaks in the range 2θ from 15° to 90°, low angle first:
2theta	I/Imax
15.6	46
16.1	100
22.9	34
27.9	55
28.2	94
32.4	85
32.6	39
35.3	42
39.4	29
40.2	29
46.9	37
49.5	33

=====

(3)
Starting from a PBE-relaxed structure, the X-ray powder pattern of Ac5Tb6Sm2 was computed for Cu Kα (weighted mean of Kα1 and Kα2).
Neutral-atom scattering factors, no anomalous dispersion.

Atomic structure:
a b c (Å): 11.869 21.882 3.771
angles (deg): 90.00 90.00 90.00
Atoms (fractional coordinates):
Ac 0.000 0.000 0.000
Ac 0.088 0.265 0.000
Ac 0.181 0.547 0.000
Ac 0.319 0.047 0.000
Ac 0.412 0.765 0.000
Ac 0.500 0.500 0.000
Ac 0.588 0.235 0.000
Ac 0.681 0.953 0.000
Ac 0.819 0.453 0.000
Ac 0.912 0.735 0.000
Tb 0.083 0.408 0.500
Tb 0.091 0.128 0.500
Tb 0.161 0.854 0.000
Tb 0.339 0.354 0.000
Tb 0.409 0.628 0.500
Tb 0.417 0.908 0.500
Tb 0.583 0.092 0.500
Tb 0.591 0.372 0.500
Tb 0.661 0.646 0.000
Tb 0.839 0.146 0.000
Tb 0.909 0.872 0.500
Tb 0.917 0.592 0.500
Sm 0.162 0.707 0.500
Sm 0.338 0.207 0.500
Sm 0.662 0.793 0.500
Sm 0.838 0.293 0.500

Principal peaks in the range 2θ from 15° to 90°, low angle first:
2theta	I/Imax
25.6	28
28.8	25
29.5	43
29.7	50
30.4	50
30.6	100
32.4	28
32.6	25
35.1	36
48.3	23
52.6	19
52.9	18

=====

(4)
Starting from a PBE-relaxed structure, the X-ray powder pattern of Nd3DyPu2S6 was computed for Cu Kα (weighted mean of Kα1 and Kα2).
Neutral-atom scattering factors, no anomalous dispersion.

Atomic structure:
a b c (Å): 6.917 6.917 6.966
angles (deg): 99.51 99.51 120.01
Atoms (fractional coordinates):
Nd 0.000 0.000 0.000
Nd 0.333 0.667 0.000
Nd 0.667 0.333 0.000
Dy 0.500 0.500 0.500
Pu 0.167 0.833 0.500
Pu 0.833 0.167 0.500
S 0.089 0.421 0.262
S 0.248 0.248 0.739
S 0.421 0.089 0.262
S 0.579 0.911 0.738
S 0.752 0.752 0.261
S 0.911 0.579 0.738

Principal peaks in the range 2θ from 15° to 90°, low angle first:
2theta	I/Imax
27.1	23
27.3	66
31.6	100
45.2	37
45.4	36
53.5	11
53.7	22
56.4	19
66.0	12
74.8	16
75.2	16
83.8	13

=====

(5)
Starting from a PBE-relaxed structure, the X-ray powder pattern of Sr5Sn3 was computed for Cu Kα (weighted mean of Kα1 and Kα2).
Neutral-atom scattering factors, no anomalous dispersion.

Atomic structure:
a b c (Å): 10.243 10.243 10.243
angles (deg): 130.35 130.35 72.85
Atoms (fractional coordinates):
Sr 0.000 0.000 0.000
Sr 0.034 0.534 0.853
Sr 0.181 0.034 0.500
Sr 0.319 0.819 0.853
Sr 0.466 0.319 0.500
Sr 0.500 0.500 0.000
Sr 0.534 0.681 0.500
Sr 0.681 0.181 0.147
Sr 0.819 0.966 0.500
Sr 0.966 0.466 0.147
Sn 0.121 0.379 0.500
Sn 0.250 0.250 0.000
Sn 0.379 0.879 0.258
Sn 0.621 0.121 0.742
Sn 0.750 0.750 0.000
Sn 0.879 0.621 0.500

Principal peaks in the range 2θ from 15° to 90°, low angle first:
2theta	I/Imax
18.1	20
28.3	100
29.4	17
30.0	48
32.9	50
35.9	25
38.1	14
43.9	12
46.6	11
50.1	11
56.0	18
59.2	25

=====

(6)
Starting from a PBE-relaxed structure, the X-ray powder pattern of Ac2LaCoAg was computed for Cu Kα (weighted mean of Kα1 and Kα2).
Neutral-atom scattering factors, no anomalous dispersion.

Atomic structure:
a b c (Å): 8.805 4.282 9.007
angles (deg): 90.00 104.95 90.00
Atoms (fractional coordinates):
Ac 0.126 0.250 0.380
Ac 0.187 0.250 0.951
Ac 0.813 0.750 0.049
Ac 0.874 0.750 0.620
La 0.455 0.750 0.299
La 0.545 0.250 0.701
Co 0.168 0.750 0.175
Co 0.832 0.250 0.825
Ag 0.269 0.750 0.679
Ag 0.731 0.250 0.321

Principal peaks in the range 2θ from 15° to 90°, low angle first:
2theta	I/Imax
25.2	35
26.5	19
29.3	100
29.6	33
30.8	15
31.6	18
32.9	12
39.3	19
42.2	21
47.3	17
47.5	16
50.5	13

=====

(7)
Starting from a PBE-relaxed structure, the X-ray powder pattern of Ho5Tm3Cd2 was computed for Cu Kα (weighted mean of Kα1 and Kα2).
Neutral-atom scattering factors, no anomalous dispersion.

Atomic structure:
a b c (Å): 10.274 10.274 10.274
angles (deg): 100.23 91.50 142.76
Atoms (fractional coordinates):
Ho 0.174 0.099 0.273
Ho 0.250 0.011 0.761
Ho 0.250 0.250 0.000
Ho 0.250 0.489 0.239
Ho 0.326 0.599 0.926
Ho 0.674 0.401 0.074
Ho 0.750 0.511 0.761
Ho 0.750 0.750 0.000
Ho 0.750 0.989 0.239
Ho 0.826 0.901 0.727
Tm 0.213 0.362 0.575
Tm 0.250 0.750 0.500
Tm 0.287 0.862 0.149
Tm 0.713 0.138 0.851
Tm 0.750 0.250 0.500
Tm 0.787 0.638 0.425
Cd 0.133 0.631 0.763
Cd 0.367 0.131 0.498
Cd 0.633 0.869 0.502
Cd 0.867 0.369 0.237

Principal peaks in the range 2θ from 15° to 90°, low angle first:
2theta	I/Imax
26.8	24
29.2	20
29.9	90
30.0	100
35.1	16
36.8	26
37.1	51
37.6	19
38.7	78
40.8	16
55.1	22
64.8	20

=====

(8)
Starting from a PBE-relaxed structure, the X-ray powder pattern of K2PtO3 was computed for Cu Kα (weighted mean of Kα1 and Kα2).
Neutral-atom scattering factors, no anomalous dispersion.

Atomic structure:
a b c (Å): 6.537 6.537 7.523
angles (deg): 90.00 90.00 120.00
Atoms (fractional coordinates):
K 0.000 0.000 0.000
K 0.000 0.000 0.500
K 0.333 0.667 0.250
K 0.667 0.333 0.750
Pt 0.333 0.667 0.750
Pt 0.667 0.333 0.250
O 0.171 0.342 0.750
O 0.171 0.829 0.750
O 0.342 0.171 0.250
O 0.658 0.829 0.750
O 0.829 0.171 0.250
O 0.829 0.658 0.250

Principal peaks in the range 2θ from 15° to 90°, low angle first:
2theta	I/Imax
15.7	17
19.6	100
23.7	31
27.3	71
28.5	44
36.4	31
39.3	18
39.9	25
44.0	25
49.0	18
56.5	30
70.8	16

=====

What did the sixth record say?
Starting from a PBE-relaxed structure, the X-ray powder pattern of Ac2LaCoAg was computed for Cu Kα (weighted mean of Kα1 and Kα2).
Neutral-atom scattering factors, no anomalous dispersion.

Atomic structure:
a b c (Å): 8.805 4.282 9.007
angles (deg): 90.00 104.95 90.00
Atoms (fractional coordinates):
Ac 0.126 0.250 0.380
Ac 0.187 0.250 0.951
Ac 0.813 0.750 0.049
Ac 0.874 0.750 0.620
La 0.455 0.750 0.299
La 0.545 0.250 0.701
Co 0.168 0.750 0.175
Co 0.832 0.250 0.825
Ag 0.269 0.750 0.679
Ag 0.731 0.250 0.321

Principal peaks in the range 2θ from 15° to 90°, low angle first:
2theta	I/Imax
25.2	35
26.5	19
29.3	100
29.6	33
30.8	15
31.6	18
32.9	12
39.3	19
42.2	21
47.3	17
47.5	16
50.5	13

=====

Please write out number 5 again, unchanged.
Starting from a PBE-relaxed structure, the X-ray powder pattern of Sr5Sn3 was computed for Cu Kα (weighted mean of Kα1 and Kα2).
Neutral-atom scattering factors, no anomalous dispersion.

Atomic structure:
a b c (Å): 10.243 10.243 10.243
angles (deg): 130.35 130.35 72.85
Atoms (fractional coordinates):
Sr 0.000 0.000 0.000
Sr 0.034 0.534 0.853
Sr 0.181 0.034 0.500
Sr 0.319 0.819 0.853
Sr 0.466 0.319 0.500
Sr 0.500 0.500 0.000
Sr 0.534 0.681 0.500
Sr 0.681 0.181 0.147
Sr 0.819 0.966 0.500
Sr 0.966 0.466 0.147
Sn 0.121 0.379 0.500
Sn 0.250 0.250 0.000
Sn 0.379 0.879 0.258
Sn 0.621 0.121 0.742
Sn 0.750 0.750 0.000
Sn 0.879 0.621 0.500

Principal peaks in the range 2θ from 15° to 90°, low angle first:
2theta	I/Imax
18.1	20
28.3	100
29.4	17
30.0	48
32.9	50
35.9	25
38.1	14
43.9	12
46.6	11
50.1	11
56.0	18
59.2	25

=====

Repeat the second record exactly.
Starting from a PBE-relaxed structure, the X-ray powder pattern of Ca3Sn2S7 was computed for Cu Kα (weighted mean of Kα1 and Kα2).
Neutral-atom scattering factors, no anomalous dispersion.

Atomic structure:
a b c (Å): 11.343 12.553 3.878
angles (deg): 90.00 90.00 90.00
Atoms (fractional coordinates):
Ca 0.000 0.000 0.000
Ca 0.113 0.347 0.000
Ca 0.387 0.847 0.000
Ca 0.500 0.500 0.000
Ca 0.613 0.153 0.000
Ca 0.887 0.653 0.000
Sn 0.215 0.606 0.500
Sn 0.285 0.106 0.500
Sn 0.715 0.894 0.500
Sn 0.785 0.394 0.500
S 0.000 0.500 0.500
S 0.080 0.177 0.500
S 0.143 0.710 0.000
S 0.205 0.928 0.500
S 0.295 0.428 0.500
S 0.357 0.210 0.000
S 0.420 0.677 0.500
S 0.500 0.000 0.500
S 0.580 0.323 0.500
S 0.643 0.790 0.000
S 0.705 0.572 0.500
S 0.795 0.072 0.500
S 0.857 0.290 0.000
S 0.920 0.823 0.500

Principal peaks in the range 2θ from 15° to 90°, low angle first:
2theta	I/Imax
15.6	46
16.1	100
22.9	34
27.9	55
28.2	94
32.4	85
32.6	39
35.3	42
39.4	29
40.2	29
46.9	37
49.5	33